# 1
Pr2Y2CI2Cl3: simulated powder diffractogram (Cu Kα (λ = 1.5418 Å)), based on a structure optimized by DFT (PBE).

Structure:
a b c (Å): 9.3748 9.3748 8.2700
angles (deg): 99.64 99.64 24.23
Sites, in units of the cell vectors:
Pr1 0.0049 0.0049 0.2877
Pr2 0.9951 0.9951 0.7123
Y1 0.3669 0.3669 0.4415
Y2 0.6331 0.6331 0.5585
C1 0.5000 0.5000 0.5000
I1 0.1702 0.1702 0.8419
I2 0.8298 0.8298 0.1581
Cl1 0.1693 0.1693 0.3518
Cl2 0.5000 0.5000 0.0000
Cl3 0.8307 0.8307 0.6482

Principal peaks in the range 2θ = 10–90°, in order of rising 2θ:
d [Å]	I_rel
6.642	36.0
4.272	16.3
3.978	15.3
3.845	24.0
3.010	44.2
2.959	26.9
2.849	100.0
2.796	19.3
2.661	34.0
2.109	25.0
2.031	30.2
1.968	17.9


# 2
Sm4C2I3Cl2: simulated powder diffractogram (Cu Kα (λ = 1.5418 Å)), based on a structure optimized by DFT (PBE).

Structure:
a b c (Å): 10.0354 10.0354 8.4697
angles (deg): 103.26 103.26 22.75
Sites, in units of the cell vectors:
Sm1 0.0028 0.0028 0.1926
Sm2 0.3471 0.3471 0.9031
Sm3 0.6529 0.6529 0.0969
Sm4 0.9972 0.9972 0.8074
C1 0.4633 0.4633 0.9786
C2 0.5367 0.5367 0.0214
I1 0.1673 0.1673 0.8134
I2 0.5000 0.5000 0.5000
I3 0.8327 0.8327 0.1866
Cl1 0.1542 0.1542 0.3299
Cl2 0.8458 0.8458 0.6701

Principal peaks in the range 2θ = 10–90°, in order of rising 2θ:
d [Å]	I_rel
8.234	59.8
3.445	23.9
3.258	20.2
3.188	68.9
2.987	18.5
2.892	100.0
2.750	54.1
2.373	17.9
2.156	32.5
2.128	41.1
1.980	19.9
1.682	21.5


# 3
Sm4CI2Cl3: simulated powder diffractogram (Cu Kα (λ = 1.5418 Å)), based on a structure optimized by DFT (PBE).

Structure:
a b c (Å): 9.2157 9.2157 8.1543
angles (deg): 100.52 100.52 24.56
Sites, in units of the cell vectors:
Sm1 0.0052 0.0052 0.2917
Sm2 0.3603 0.3603 0.4331
Sm3 0.6397 0.6397 0.5669
Sm4 0.9948 0.9948 0.7083
C1 0.5000 0.5000 0.5000
I1 0.1674 0.1674 0.8635
I2 0.8326 0.8326 0.1365
Cl1 0.1700 0.1700 0.3393
Cl2 0.5000 0.5000 0.0000
Cl3 0.8300 0.8300 0.6607

Principal peaks in the range 2θ = 10–90°, in order of rising 2θ:
d [Å]	I_rel
8.011	28.2
6.581	33.9
3.139	22.8
2.949	45.9
2.919	39.8
2.825	100.0
2.625	33.8
2.434	20.8
2.069	25.3
2.012	28.7
1.960	19.0
1.632	21.9


# 4
Sm2Y2CI3Cl2: simulated powder diffractogram (Cu Kα (λ = 1.5418 Å)), based on a structure optimized by DFT (PBE).

Structure:
a b c (Å): 9.4484 9.4484 8.4860
angles (deg): 100.48 100.48 24.01
Sites, in units of the cell vectors:
Sm1 0.1359 0.1359 0.0680
Sm2 0.8641 0.8641 0.9320
Y1 0.4983 0.4983 0.1913
Y2 0.5017 0.5017 0.8087
C1 0.0000 0.0000 0.0000
I1 0.0000 0.0000 0.5000
I2 0.3271 0.3271 0.1967
I3 0.6729 0.6729 0.8033
Cl1 0.3527 0.3527 0.6926
Cl2 0.6473 0.6473 0.3074

Principal peaks in the range 2θ = 10–90°, in order of rising 2θ:
d [Å]	I_rel
8.338	63.1
3.708	26.7
3.438	15.6
3.178	18.4
3.027	41.5
2.965	19.5
2.882	100.0
2.648	33.5
2.269	18.1
2.119	37.2
2.057	21.3
1.965	18.8


# 5
Sm2Y2CI3Cl2: simulated powder diffractogram (Cu Kα (λ = 1.5418 Å)), based on a structure optimized by DFT (PBE).

Structure:
a b c (Å): 9.1236 9.1236 8.6040
angles (deg): 102.62 102.62 24.98
Sites, in units of the cell vectors:
Sm1 0.1419 0.1419 0.0674
Sm2 0.8581 0.8581 0.9326
Y1 0.4970 0.4970 0.1886
Y2 0.5030 0.5030 0.8114
C1 0.0000 0.0000 0.0000
I1 0.0000 0.0000 0.5000
I2 0.3295 0.3295 0.6500
I3 0.6705 0.6705 0.3500
Cl1 0.3338 0.3338 0.1526
Cl2 0.6662 0.6662 0.8474

Principal peaks in the range 2θ = 10–90°, in order of rising 2θ:
d [Å]	I_rel
6.845	17.2
5.453	22.1
4.264	33.8
3.177	32.7
2.917	47.9
2.908	100.0
2.894	41.9
2.634	16.9
2.502	22.1
2.064	24.9
2.039	28.2
1.973	18.0


# 6
Sm2Y2CI3Cl2: simulated powder diffractogram (Cu Kα (λ = 1.5418 Å)), based on a structure optimized by DFT (PBE).

Structure:
a b c (Å): 9.0627 9.0627 8.7859
angles (deg): 102.36 102.36 25.21
Sites, in units of the cell vectors:
Sm1 0.0038 0.0038 0.3088
Sm2 0.9962 0.9962 0.6912
Y1 0.3604 0.3604 0.4343
Y2 0.6396 0.6396 0.5657
C1 0.5000 0.5000 0.5000
I1 0.1754 0.1754 0.8356
I2 0.5000 0.5000 0.0000
I3 0.8246 0.8246 0.1644
Cl1 0.1716 0.1716 0.3670
Cl2 0.8284 0.8284 0.6330

Principal peaks in the range 2θ = 10–90°, in order of rising 2θ:
d [Å]	I_rel
8.620	43.5
6.883	20.0
4.246	21.2
3.180	21.4
2.939	100.0
2.928	37.6
2.876	44.4
2.600	18.9
2.551	19.7
2.076	25.3
2.035	29.2
1.630	21.9